No. 1
# AsOsAu2
Calculated X-ray powder pattern, Cu Kα (λ = 1.5418 Å). Input: DFT lattice parameters and positions (PBE).
Lines closer than 0.1° are merged.

The 10 most intense peaks (2θ from 5° to 70°), in order of rising 2θ:
2theta, I (rel.)
24.21, 59
27.75, 25
32.59, 19
37.54, 74
39.14, 37
39.99, 100
42.12, 87
45.49, 36
62.75, 19
68.24, 36

Cell and atoms:
```
AsOsAu2
1.0
6.5346 -1.4449 0.0000
6.5346 1.4449 0.0000
-0.7196 0.0000 3.9574
As Os Au
1 1 2
Direct
0.0000 0.0000 0.0000 As
0.5000 0.5000 0.5000 Os
0.1876 0.1876 0.7266 Au
0.8124 0.8124 0.2734 Au
```



No. 2
# ReAs2PAu
Calculated X-ray powder pattern, Cu Kα (λ = 1.5418 Å). Input: DFT lattice parameters and positions (PBE).
Lines closer than 0.1° are merged.

The 10 most intense peaks (2θ from 5° to 70°), in order of rising 2θ:
2theta, I (rel.)
23.84, 40
24.94, 100
32.11, 84
32.56, 20
40.16, 80
42.59, 47
44.57, 32
48.26, 29
48.83, 72
68.21, 15

Cell and atoms:
```
ReAs2PAu
1.0
3.1236 0.0000 0.0000
0.0000 7.4660 0.0000
-1.1542 0.0000 4.0657
Re As P Au
1 2 1 1
Direct
0.0000 0.0000 0.0000 Re
0.4909 0.2822 0.9668 As
0.4909 0.7178 0.9668 As
0.6692 0.0000 0.4275 P
0.4994 0.5000 0.4653 Au
```